# KMo5O13
Computed PXRD pattern, Cu Ka. Input: DFT lattice parameters and positions (PBE+U).
Neutral-atom scattering factors, no anomalous dispersion.

Principal peaks in the range 2θ from 10° to 90°, sorted by position:
10.44°, I = 99; 22.05°, I = 26; 25.02°, I = 49; 26.15°, I = 100; 26.61°, I = 22; 28.69°, I = 33; 31.04°, I = 65; 32.55°, I = 27; 33.84°, I = 30; 36.50°, I = 24; 49.30°, I = 23; 51.31°, I = 45

Atomic structure:
abc: 5.7113 5.7113 16.9491
angles: 90.00 90.00 106.73
Element x y z (fractional)
K 0.1394 0.8606 0.7500
K 0.8606 0.1394 0.2500
Mo 0.0000 0.0000 0.0000
Mo 0.0000 0.0000 0.5000
Mo 0.2279 0.7721 0.1375
Mo 0.2279 0.7721 0.3625
Mo 0.3818 0.6182 0.5721
Mo 0.3818 0.6182 0.9279
Mo 0.6182 0.3818 0.0721
Mo 0.6182 0.3818 0.4279
Mo 0.7721 0.2279 0.6375
Mo 0.7721 0.2279 0.8625
O 0.0083 0.9917 0.1108
O 0.0083 0.9917 0.3892
O 0.0910 0.4921 0.6303
O 0.0910 0.4921 0.8697
O 0.1848 0.8152 0.2500
O 0.2236 0.7764 0.0100
O 0.2236 0.7764 0.4900
O 0.3077 0.3077 0.0000
O 0.3077 0.3077 0.5000
O 0.4273 0.5727 0.1383
O 0.4273 0.5727 0.3617
O 0.4921 0.0910 0.1303
O 0.4921 0.0910 0.3697
O 0.5079 0.9090 0.6303
O 0.5079 0.9090 0.8697
O 0.5727 0.4273 0.6383
O 0.5727 0.4273 0.8617
O 0.6923 0.6923 0.0000
O 0.6923 0.6923 0.5000
O 0.7764 0.2236 0.5100
O 0.7764 0.2236 0.9900
O 0.8152 0.1848 0.7500
O 0.9090 0.5079 0.1303
O 0.9090 0.5079 0.3697
O 0.9917 0.0083 0.6108
O 0.9917 0.0083 0.8892